Diffraction record for Hf3Ni2P4Pd2. The powder X-ray diffraction pattern is theoretical, not measured: it uses a DFT-relaxed cell (PBE, OQMD) and a wavelength of 1.5418 Å.

Structure:
```
Hf3Ni2P4Pd2
1.0
6.4060 0.0000 0.0000
0.0000 3.7434 0.0000
-0.1227 0.0000 7.1929
Hf Ni P Pd
3 2 4 2
direct
0.0000 0.0000 0.0000 Hf
0.0619 0.5000 0.6227 Hf
0.5562 0.5000 0.4754 Hf
0.1636 0.5000 0.2527 Ni
0.9014 0.0000 0.3678 Ni
0.2698 0.0000 0.4108 P
0.2790 0.5000 0.9523 P
0.7760 0.0000 0.6698 P
0.7928 0.5000 0.2007 P
0.3764 0.0000 0.7513 Pd
0.6727 0.5000 0.8821 Pd
```

The 12 most intense peaks (10 to 90 degrees two-theta), by angle:
d [Å]  two_theta  Rel. int.  (hkl)
7.193  12.31  49.7  0 0 1
3.321  26.85  37.6  0 1 1
3.159  28.25  32.8  1 0 -2
2.939  30.41  41.3  1 1 1
2.434  36.94  67.6  2 1 0
2.414  37.25  60.6  1 1 -2
2.394  37.57  100.0  1 1 2
2.314  38.92  85.4  2 1 -1
2.296  39.24  40.8  2 1 1
2.258  39.92  38.2  1 0 -3
2.019  44.89  40.3  0 1 3
1.872  48.65  50.7  0 2 0

=====

Diffraction record for HfZrNiP. The powder X-ray diffraction pattern is theoretical, not measured: it uses a DFT-relaxed cell (PBE, OQMD) and a wavelength of 1.5418 Å.

Structure:
```
HfZrNiP
1.0
5.2446 0.0000 0.0000
0.0000 3.6188 0.0000
-2.5763 0.0000 6.9868
Hf Zr Ni P
2 2 2 2
direct
0.2160 0.2500 0.4232 Hf
0.7840 0.7500 0.5768 Hf
0.2803 0.7500 0.0710 Zr
0.7197 0.2500 0.9290 Zr
0.1437 0.2500 0.7848 Ni
0.8563 0.7500 0.2152 Ni
0.3589 0.7500 0.7080 P
0.6411 0.2500 0.2920 P
```

The 12 most intense peaks (10 to 90 degrees two-theta), by angle:
d [Å]  two_theta  Rel. int.  (hkl)
6.987  12.67  18.0  0 0 1
2.912  30.70  51.6  1 1 -1
2.513  35.72  100.0  0 1 2
2.460  36.53  52.1  1 0 -3
2.450  36.68  23.2  2 0 -2
2.034  44.53  31.0  2 1 0
2.029  44.67  21.1  2 1 -2
1.870  48.70  20.7  1 0 3
1.809  50.43  20.0  0 2 0
1.573  58.69  12.7  2 1 2
1.565  59.03  15.7  2 1 -4
1.458  63.86  20.4  1 2 -3

=====

Diffraction record for Hf2ZrNi4P4. The powder X-ray diffraction pattern is theoretical, not measured: it uses a DFT-relaxed cell (PBE, OQMD) and a wavelength of 1.5418 Å.

Structure:
```
Hf2ZrNi4P4
1.0
6.2368 0.0000 0.0000
0.0000 3.6856 0.0000
-0.1098 0.0000 7.0298
Hf Zr Ni P
2 1 4 4
direct
0.0000 0.0000 0.0000 Hf
0.4934 0.0000 0.8497 Hf
0.5412 0.5000 0.4799 Zr
0.1617 0.5000 0.7213 Ni
0.3855 0.0000 0.2267 Ni
0.6651 0.5000 0.1064 Ni
0.8819 0.0000 0.6074 Ni
0.2428 0.0000 0.5374 P
0.2873 0.5000 0.0552 P
0.7717 0.0000 0.2924 P
0.7928 0.5000 0.7910 P
```

The 12 most intense peaks (10 to 90 degrees two-theta), by angle:
d [Å]  two_theta  Rel. int.  (hkl)
7.030  12.59  100.0  0 0 1
3.686  24.15  31.0  0 1 0
3.264  27.32  34.0  0 1 1
2.380  37.79  57.6  2 1 0
2.365  38.06  57.3  1 1 -2
2.347  38.35  90.0  1 1 2
2.263  39.84  63.7  2 1 -1
2.247  40.14  56.9  2 1 1
2.205  40.93  27.9  1 0 -3
2.182  41.37  29.0  1 0 3
1.977  45.89  29.3  0 1 3
1.843  49.46  45.9  0 2 0